The following is a simulated X-ray diffraction stick pattern of Cd5HgPb4. It was derived from the GGA-PBE geometry in Alexandria, using CuKα.
Peak positions follow from Bragg's law for the DFT cell and can differ from measured ones.

Top 12 peaks for 2θ from 10° to 80°, in order of rising 2θ:
23.29°, d 3.819, rel. 9.5, (-1 1 1); 31.50°, d 2.840, rel. 39.4, (1 0 2); 31.68°, d 2.824, rel. 100.0, (2 0 -1); 35.59°, d 2.522, rel. 28.7, (-1 2 1); 36.48°, d 2.463, rel. 7.6, (1 2 -1); 36.57°, d 2.457, rel. 30.2, (1 0 -3); 37.70°, d 2.386, rel. 28.5, (2 -2 1); 39.33°, d 2.291, rel. 16.4, (1 2 0); 52.20°, d 1.752, rel. 7.5, (2 2 -3); 56.26°, d 1.635, rel. 9.1, (-3 2 2); 58.03°, d 1.589, rel. 7.3, (1 -4 2); 58.31°, d 1.582, rel. 8.2, (2 2 -4)

Crystal structure
Unit cell a=5.937 b=6.379 c=8.008 alpha=108.80 beta=96.09 gamma=104.70
Space group P1 (No. 1)
Unique sites:
Cd (0.000, 0.000, 0.000) (multiplicity 1)
Cd (0.166, 0.926, 0.347) (multiplicity 1)
Cd (0.415, 0.796, 0.841) (multiplicity 1)
Cd (0.582, 0.684, 0.164) (multiplicity 1)
Cd (0.823, 0.558, 0.659) (multiplicity 1)
Hg (0.992, 0.485, 0.006) (multiplicity 1)
Pb (0.227, 0.476, 0.426) (multiplicity 1)
Pb (0.354, 0.249, 0.775) (multiplicity 1)
Pb (0.628, 0.228, 0.229) (multiplicity 1)
Pb (0.757, 0.005, 0.579) (multiplicity 1)

---

The following is a simulated X-ray diffraction stick pattern of K2CoPS4. It was derived from the GGA-PBE geometry in Alexandria, using CuKα.
Peak positions follow from Bragg's law for the DFT cell and can differ from measured ones.

Top 12 peaks for 2θ from 10° to 80°, in order of rising 2θ:
15.35°, d 5.771, rel. 100.0, (0 2 2); 16.05°, d 5.521, rel. 24.7, (1 1 1); 17.59°, d 5.042, rel. 76.7, (0 0 4); 24.08°, d 3.696, rel. 31.1, (1 3 1); 27.17°, d 3.282, rel. 35.8, (1 3 3); 29.45°, d 3.033, rel. 71.1, (0 2 6); 31.16°, d 2.870, rel. 25.6, (2 2 0); 32.55°, d 2.751, rel. 43.1, (1 3 5); 34.84°, d 2.575, rel. 27.0, (1 1 7); 39.46°, d 2.284, rel. 37.5, (2 4 2); 47.26°, d 1.923, rel. 51.2, (2 4 6); 48.42°, d 1.880, rel. 35.8, (2 6 0)

Crystal structure
Unit cell a=6.287 b=14.075 c=20.170 alpha=90.00 beta=90.00 gamma=90.00
Space group Fddd (No. 70, origin choice 2)
Unique sites:
K (0.125, 0.125, 0.289) (multiplicity 16)
Co (0.125, 0.125, 0.125) (multiplicity 8)
P (0.125, 0.125, 0.625) (multiplicity 8)
S (0.122, 0.280, 0.844) (multiplicity 32)

---

The following is a simulated X-ray diffraction stick pattern of Ce2PaRu3. It was derived from the GGA-PBE geometry in Alexandria, using CuKα.
Peak positions follow from Bragg's law for the DFT cell and can differ from measured ones.

Top 12 peaks for 2θ from 10° to 80°, in order of rising 2θ:
27.94°, d 3.193, rel. 24.0, (1 1 -2); 31.43°, d 2.847, rel. 59.0, (0 2 0); 31.92°, d 2.803, rel. 85.5, (4 0 -2); 33.01°, d 2.713, rel. 100.0, (2 0 2); 35.35°, d 2.539, rel. 92.5, (2 2 -1); 45.40°, d 1.998, rel. 27.3, (4 2 -2); 46.02°, d 1.972, rel. 38.0, (6 0 0); 46.22°, d 1.964, rel. 32.3, (2 2 2); 48.88°, d 1.863, rel. 39.9, (4 2 1); 49.41°, d 1.844, rel. 29.5, (0 2 3); 67.93°, d 1.380, rel. 21.9, (2 4 -1); 77.43°, d 1.233, rel. 25.1, (8 0 2)

Crystal structure
Unit cell a=12.571 b=5.695 c=7.716 alpha=90.00 beta=109.73 gamma=90.00
Space group C2/c (No. 15)
Unique sites:
Ce (0.170, 0.054, 0.062) (multiplicity 8)
Pa (0.000, 0.424, 0.250) (multiplicity 4)
Ru (0.000, 0.078, 0.750) (multiplicity 4)
Ru (0.150, 0.423, 0.632) (multiplicity 8)

---

The following is a simulated X-ray diffraction stick pattern of Tl2In2Hg4Pb. It was derived from the GGA-PBE geometry in Alexandria, using CuKα.
Peak positions follow from Bragg's law for the DFT cell and can differ from measured ones.

Top 12 peaks for 2θ from 10° to 80°, in order of rising 2θ:
29.34°, d 3.044, rel. 26.0, (1 1 -2); 30.20°, d 2.960, rel. 15.7, (0 2 -1); 30.46°, d 2.934, rel. 31.3, (2 -1 0); 31.41°, d 2.848, rel. 23.6, (2 0 -1); 31.61°, d 2.831, rel. 100.0, (1 0 2); 32.09°, d 2.789, rel. 34.6, (-1 1 2); 32.38°, d 2.765, rel. 9.9, (-2 1 1); 35.01°, d 2.563, rel. 34.0, (1 -2 2); 37.23°, d 2.415, rel. 10.0, (1 0 -3); 37.94°, d 2.371, rel. 28.7, (1 1 -3); 39.59°, d 2.276, rel. 12.3, (2 1 0); 60.64°, d 1.527, rel. 13.8, (2 -2 4)

Crystal structure
Unit cell a=6.027 b=6.166 c=7.714 alpha=105.18 beta=96.45 gamma=105.52
Space group P-1 (No. 2)
Unique sites:
Tl (0.242, 0.493, 0.366) (multiplicity 2)
In (0.220, 0.114, 0.936) (multiplicity 2)
Hg (0.251, 0.580, 0.870) (multiplicity 2)
Hg (0.425, 0.999, 0.289) (multiplicity 2)
Pb (0.000, 0.000, 0.500) (multiplicity 1)